This entry pairs a crystal structure of Sc7Cu3 with its theoretical PXRD pattern. Radiation: Cu Kα (λ = 1.5418 Å). Structure: the GGA-PBE geometry in Alexandria.

Structural model:
abc: 9.1043 9.1043 5.8607
angles: 90.00 90.00 120.00
Space group P6_3mc (No. 186)
Unique sites:
Sc  0.0737  0.5368  0.0000 x6
Sc  0.1262  0.2524  0.7103 x6
Sc  0.3333  0.6667  0.5352 x2
Cu  0.1938  0.3877  0.2754 x6

Principal peaks in the range 2θ = 10–90°, by angle:
- (1 0 2), 32.60 deg, d = 2.747 Å, I = 35
- (2 1 1), 33.74 deg, d = 2.656 Å, I = 81
- (3 0 1), 37.50 deg, d = 2.398 Å, I = 100
- (2 0 2), 38.27 deg, d = 2.352 Å, I = 72
- (2 2 0), 39.60 deg, d = 2.276 Å, I = 61
- (2 1 2), 43.30 deg, d = 2.089 Å, I = 36

This entry pairs a crystal structure of Tb6Sn3C2 with its theoretical PXRD pattern. Radiation: Cu Kα (λ = 1.5418 Å). Structure: the GGA-PBE geometry in Alexandria.

Structural model:
abc: 4.814 4.814 24.953
angles: 90.00 90.00 90.00
Space group I4/mmm (No. 139)
Unique sites:
Tb  0.000  0.000  0.195 x4
Tb  0.000  0.500  0.084 x8
Sn  0.000  0.000  0.323 x4
Sn  0.000  0.000  0.500 x2
C  0.000  0.000  0.104 x4

Principal peaks in the range 2θ = 10–90°, by angle:
- (1 1 2), 27.16 deg, d = 3.284 Å, I = 48
- (1 1 4), 29.90 deg, d = 2.988 Å, I = 21
- (1 1 6), 34.04 deg, d = 2.634 Å, I = 100
- (2 0 0), 37.36 deg, d = 2.407 Å, I = 57
- (2 2 0), 53.87 deg, d = 1.702 Å, I = 20
- (3 1 6), 65.27 deg, d = 1.429 Å, I = 31

This entry pairs a crystal structure of K3Ac3TiSe8 with its theoretical PXRD pattern. Radiation: Cu Kα (λ = 1.5418 Å). Structure: the GGA-PBE geometry in Alexandria.

Structural model:
abc: 8.7951 8.7951 23.5310
angles: 90.00 90.00 120.00
Space group R-3m (No. 166, hexagonal axes)
Unique sites:
K  0.0000  0.5000  0.0000 x9
Ac  0.0000  0.5000  0.5000 x9
Ti  0.0000  0.0000  0.5000 x3
Se  0.0000  0.0000  0.2411 x6
Se  0.0456  0.5228  0.2312 x18

Principal peaks in the range 2θ = 10–90°, by angle:
- (0 0 3), 11.28 deg, d = 7.844 Å, I = 82
- (0 2 1), 23.67 deg, d = 3.759 Å, I = 21
- (0 2 4), 27.91 deg, d = 3.197 Å, I = 100
- (0 2 7), 35.62 deg, d = 2.520 Å, I = 26
- (2 0 8), 38.68 deg, d = 2.328 Å, I = 33
- (2 2 0), 41.05 deg, d = 2.199 Å, I = 34

This entry pairs a crystal structure of LiGaH8N4 with its theoretical PXRD pattern. Radiation: Cu Kα (λ = 1.5418 Å). Structure: the GGA-PBE geometry in Alexandria.

Structural model:
abc: 6.028 7.763 6.112
angles: 90.00 104.47 90.00
Space group P2_1 (No. 4)
Unique sites:
Li  0.129  0.000  0.398 x2
Ga  0.367  0.723  0.641 x2
H  0.107  0.666  0.263 x2
H  0.158  0.903  0.864 x2
H  0.231  0.539  0.916 x2
H  0.236  0.211  0.123 x2
H  0.237  0.319  0.349 x2
H  0.309  0.417  0.734 x2
H  0.352  0.732  0.222 x2
H  0.383  0.006  0.839 x2
N  0.223  0.528  0.747 x2
N  0.238  0.751  0.319 x2
N  0.250  0.934  0.749 x2
N  0.302  0.209  0.295 x2

Principal peaks in the range 2θ = 10–90°, by angle:
- (0 0 1), 14.97 deg, d = 5.918 Å, I = 64
- (1 0 0), 15.18 deg, d = 5.837 Å, I = 40
- (0 1 1), 18.86 deg, d = 4.706 Å, I = 100
- (1 1 0), 19.02 deg, d = 4.665 Å, I = 89
- (1 1 -1), 21.78 deg, d = 4.081 Å, I = 96
- (0 2 0), 22.91 deg, d = 3.881 Å, I = 37

This entry pairs a crystal structure of NbTeH2PdI with its theoretical PXRD pattern. Radiation: Cu Kα (λ = 1.5418 Å). Structure: the GGA-PBE geometry in Alexandria.

Structural model:
abc: 3.614 4.688 8.329
angles: 82.82 89.62 67.34
Space group P1 (No. 1)
Unique sites:
Nb  0.000  0.000  0.000 x1
Te  0.396  0.215  0.733 x1
H  0.473  0.053  0.076 x1
H  0.784  0.427  0.062 x1
Pd  0.695  0.614  0.871 x1
I  0.060  0.870  0.324 x1

Principal peaks in the range 2θ = 10–90°, by angle:
- (0 0 1), 10.72 deg, d = 8.255 Å, I = 100
- (0 0 2), 21.53 deg, d = 4.128 Å, I = 47
- (1 1 1), 28.32 deg, d = 3.151 Å, I = 61
- (1 0 -1), 28.43 deg, d = 3.139 Å, I = 61
- (1 -1 0), 40.22 deg, d = 2.242 Å, I = 68
- (0 1 -3), 41.31 deg, d = 2.186 Å, I = 70

This entry pairs a crystal structure of TbSmCo4Ni6 with its theoretical PXRD pattern. Radiation: Cu Kα (λ = 1.5418 Å). Structure: the GGA-PBE geometry in Alexandria.

Structural model:
abc: 3.979 4.912 8.508
angles: 90.00 90.00 90.00
Space group Pmmm (No. 47)
Unique sites:
Tb  0.000  0.000  0.000 x1
Sm  0.000  0.500  0.500 x1
Co  0.000  0.000  0.330 x2
Co  0.000  0.500  0.165 x2
Ni  0.500  0.000  0.500 x1
Ni  0.500  0.249  0.248 x4
Ni  0.500  0.500  0.000 x1

Principal peaks in the range 2θ = 10–90°, by angle:
- (1 1 1), 30.77 deg, d = 2.906 Å, I = 54
- (0 2 0), 36.59 deg, d = 2.456 Å, I = 31
- (0 0 4), 42.50 deg, d = 2.127 Å, I = 37
- (1 2 0), 43.29 deg, d = 2.090 Å, I = 100
- (2 0 0), 45.60 deg, d = 1.989 Å, I = 27
- (1 3 3), 70.50 deg, d = 1.336 Å, I = 22

This entry pairs a crystal structure of Ca3AgHg7 with its theoretical PXRD pattern. Radiation: Cu Kα (λ = 1.5418 Å). Structure: the GGA-PBE geometry in Alexandria.

Structural model:
abc: 4.062 23.951 12.448
angles: 90.00 90.00 90.00
Space group Cmcm (No. 63)
Unique sites:
Ca  0.000  0.095  0.053 x8
Ca  0.000  0.218  0.750 x4
Ag  0.000  0.061  0.750 x4
Hg  0.000  0.292  0.543 x8
Hg  0.000  0.364  0.750 x4
Hg  0.000  0.370  0.134 x8
Hg  0.000  0.499  0.123 x8

Principal peaks in the range 2θ = 10–90°, by angle:
- (1 1 0), 22.21 deg, d = 4.003 Å, I = 100
- (0 6 3), 31.08 deg, d = 2.877 Å, I = 50
- (1 3 3), 32.83 deg, d = 2.728 Å, I = 46
- (1 1 4), 36.58 deg, d = 2.457 Å, I = 49
- (1 7 2), 37.27 deg, d = 2.412 Å, I = 41
- (1 1 5), 42.77 deg, d = 2.114 Å, I = 45

This entry pairs a crystal structure of ZrTi5S6 with its theoretical PXRD pattern. Radiation: Cu Kα (λ = 1.5418 Å). Structure: the GGA-PBE geometry in Alexandria.

Structural model:
abc: 6.120 10.750 6.127
angles: 90.00 109.29 90.00
Space group C2/m (No. 12)
Unique sites:
Zr  0.000  0.000  0.000 x2
Ti  0.000  0.129  0.500 x4
Ti  0.000  0.319  0.000 x4
Ti  0.000  0.500  0.500 x2
S  0.216  0.500  0.227 x4
S  0.236  0.324  0.727 x8

Principal peaks in the range 2θ = 10–90°, by angle:
- (1 3 1), 35.63 deg, d = 2.520 Å, I = 100
- (2 0 -2), 35.96 deg, d = 2.497 Å, I = 56
- (0 6 0), 50.97 deg, d = 1.792 Å, I = 12
- (2 0 2), 51.54 deg, d = 1.773 Å, I = 79
- (4 0 0), 64.49 deg, d = 1.445 Å, I = 16
- (5 3 -3), 87.12 deg, d = 1.119 Å, I = 13